AlAs: calculated X-ray powder pattern (Cu Kα (λ = 1.5418 Å)), based on DFT lattice parameters and positions (PBE).
Intensities are scaled so that the largest is 1000.

Main lines, by intensity (2θ from 10° to 90°):
two_theta  d_spacing  I_rel  index
25.55  3.486  1000  2 0 0
44.91  2.018  883  3 0 1
25.34  3.514  804  1 0 1
28.44  3.138  616  1 1 1
52.38  1.747  480  3 2 1
28.63  3.118  310  2 1 0
52.04  1.757  272  2 0 2
36.30  2.475  262  2 1 1
44.53  2.035  250  0 0 2
55.95  1.644  206  3 3 0
40.93  2.205  198  3 1 0
74.17  1.278  177  3 3 2

Atomic structure:
```
data_AlAs
_space_group_name_H-M_alt 'P 42/m n m'
_space_group_IT_number 136
_space_group_name_Hall '-P 4n 2n'
_cell_length_a 6.9728
_cell_length_b 6.9728
_cell_length_c 4.0690
_cell_angle_alpha 90.00
_cell_angle_beta 90.00
_cell_angle_gamma 90.00
loop_
_atom_site_label
_atom_site_type_symbol
_atom_site_fract_x
_atom_site_fract_y
_atom_site_fract_z
Al1 Al 0.1727 0.1727 0.0000
As1 As 0.1857 0.8143 0.0000
```

***

Al7As: calculated X-ray powder pattern (Cu Kα (λ = 1.5418 Å)), based on DFT lattice parameters and positions (PBE).
Intensities are scaled so that the largest is 1000.

Main lines, by intensity (2θ from 10° to 90°):
two_theta  d_spacing  I_rel  index
38.13  2.360  1000  2 2 2
44.32  2.044  483  4 0 0
77.43  1.233  366  6 2 2
64.47  1.445  312  4 4 0
18.80  4.720  209  1 1 1
36.45  2.465  122  3 1 1
21.74  4.088  113  2 0 0
81.58  1.180  106  4 4 4
30.94  2.891  95  2 2 0
48.54  1.876  54  3 3 1
49.88  1.828  50  4 2 0
58.68  1.573  40  5 1 1

Atomic structure:
```
data_Al7As
_space_group_name_H-M_alt 'F m -3 m'
_space_group_IT_number 225
_space_group_name_Hall '-F 4 2 3'
_cell_length_a 8.1759
_cell_length_b 8.1759
_cell_length_c 8.1759
_cell_angle_alpha 90.00
_cell_angle_beta 90.00
_cell_angle_gamma 90.00
loop_
_atom_site_label
_atom_site_type_symbol
_atom_site_fract_x
_atom_site_fract_y
_atom_site_fract_z
Al1 Al 0.0000 0.0000 0.0000
Al2 Al 0.0000 0.2500 0.2500
As1 As 0.0000 0.0000 0.5000
```

***

AlAs: calculated X-ray powder pattern (Cu Kα (λ = 1.5418 Å)), based on DFT lattice parameters and positions (PBE).
Intensities are scaled so that the largest is 1000.

Main lines, by intensity (2θ from 10° to 90°):
two_theta  d_spacing  I_rel  index
31.21  2.866  1000  2 1 1
48.53  1.876  713  3 1 2
28.43  3.139  389  2 1 0
85.22  1.139  217  5 2 3
52.12  1.755  194  4 0 0
25.38  3.510  134  2 0 0
73.96  1.282  123  5 2 1
60.44  1.532  99  4 2 1
76.82  1.241  92  4 4 0
21.93  4.053  76  1 1 1
72.52  1.303  74  5 0 2
62.01  1.497  70  3 3 2

Atomic structure:
```
data_AlAs
_space_group_name_H-M_alt 'P a -3'
_space_group_IT_number 205
_space_group_name_Hall '-P 2ac 2ab 3'
_cell_length_a 7.0193
_cell_length_b 7.0193
_cell_length_c 7.0193
_cell_angle_alpha 90.00
_cell_angle_beta 90.00
_cell_angle_gamma 90.00
loop_
_atom_site_label
_atom_site_type_symbol
_atom_site_fract_x
_atom_site_fract_y
_atom_site_fract_z
Al1 Al 0.1579 0.1579 0.1579
As1 As 0.1416 0.6416 0.8584
```